(1)
This entry pairs a crystal structure of DySn3Pd7 with its theoretical XRD peak list. Radiation: λ = 1.5418 Å (Cu Kα). Structure: the PBE geometry in Alexandria.

Cell and atoms:
Cell: 8.5056 9.7591 5.5709 Å, 90.00 113.09 90.00°
Space group C2/m (No. 12)
Symmetry-distinct sites (fractional):
Dy1 0.0000 0.0000 0.0000
Sn1 0.0000 0.2700 0.5000
Sn2 0.0000 0.5000 0.0000
Pd1 0.0000 0.0000 0.5000
Pd2 0.1774 0.2692 0.1843
Pd3 0.1869 0.5000 0.5456

Peak list (6 most intense, 10 to 80 degrees two-theta, in order of rising 2θ)
hkl, 2θ/deg, d/Å, intensity
2 0 -2, 33.46, 2.678, 77
0 4 0, 36.84, 2.440, 88
2 2 1, 38.68, 2.328, 100
0 2 2, 39.73, 2.269, 35
4 2 -1, 46.59, 1.949, 46
2 4 -2, 50.61, 1.804, 40

---

(2)
This entry pairs a crystal structure of Nd2Pd4Au5 with its theoretical XRD peak list. Radiation: λ = 1.5418 Å (Cu Kα). Structure: the PBE geometry in Alexandria.

Cell and atoms:
Cell: 5.5213 9.1827 18.2921 Å, 90.00 90.00 90.00°
Space group Fmmm (No. 69)
Symmetry-distinct sites (fractional):
Nd1 0.0000 0.0000 0.1337
Pd1 0.0000 0.1622 0.3721
Au1 0.0000 0.0000 0.5000
Au2 0.2500 0.2500 0.0000
Au3 0.2500 0.2500 0.2500

Peak list (6 most intense, 10 to 80 degrees two-theta, in order of rising 2θ)
hkl, 2θ/deg, d/Å, intensity
0 2 0, 19.36, 4.586, 39
0 2 4, 27.53, 3.240, 37
1 3 3, 36.66, 2.451, 44
2 0 4, 38.06, 2.364, 100
0 0 8, 39.41, 2.287, 45
2 2 4, 43.05, 2.101, 40

---

(3)
This entry pairs a crystal structure of TbDy3In3Te8 with its theoretical XRD peak list. Radiation: λ = 1.5418 Å (Cu Kα). Structure: the PBE geometry in Alexandria.

Cell and atoms:
Cell: 8.7701 8.7701 23.6505 Å, 90.00 90.00 120.00°
Space group R-3m (No. 166, hexagonal axes)
Symmetry-distinct sites (fractional):
Tb1 0.0000 0.0000 0.0000
Dy1 0.0000 0.5000 0.0000
In1 0.0000 0.5000 0.5000
Te1 0.0000 0.0000 0.2579
Te2 0.0026 0.5013 0.2582

Peak list (6 most intense, 10 to 80 degrees two-theta, in order of rising 2θ)
hkl, 2θ/deg, d/Å, intensity
0 2 4, 27.92, 3.195, 100
2 0 8, 38.59, 2.333, 39
2 2 0, 41.17, 2.193, 36
4 0 4, 50.48, 1.808, 19
2 2 12, 63.47, 1.466, 16
2 4 4, 67.10, 1.395, 16